(1)
This entry pairs a crystal structure of Ca3LaSe4 with its calculated XRD peak list. Radiation: Cu Kα X-rays. Structure: a structure optimized by DFT (PBE).

```
data_Ca3LaSe4
_cell_length_a 8.490
_cell_length_b 11.996
_cell_length_c 4.232
_cell_angle_alpha 90.00
_cell_angle_beta 90.00
_cell_angle_gamma 90.00
_space_group_name_H-M_alt 'C m m m'
_space_group_IT_number 65
_space_group_name_Hall '-C 2 2'
loop_
_atom_site_label
_atom_site_type_symbol
_atom_site_fract_x
_atom_site_fract_y
_atom_site_fract_z
Ca1 Ca 0.000 0.000 0.000
Ca2 Ca 0.250 0.250 0.500
La1 La 0.000 0.500 0.000
Se1 Se 0.000 0.248 0.000
Se2 Se 0.244 0.000 0.500
```

Main lines, in order of rising 2θ (2θ = 10–90°):
two_theta  d [Å]  Rel. int.
29.80  2.998  100
42.64  2.120  61
42.73  2.116  12
52.84  1.733  13
52.96  1.729  13
70.18  1.341  26



(2)
This entry pairs a crystal structure of CaLa6Sm12 with its calculated XRD peak list. Radiation: Cu Kα X-rays. Structure: a structure optimized by DFT (PBE).

```
data_CaLa6Sm12
_cell_length_a 13.6817
_cell_length_b 13.6817
_cell_length_c 12.8982
_cell_angle_alpha 90.00
_cell_angle_beta 90.00
_cell_angle_gamma 120.00
_space_group_name_H-M_alt 'R -3 m'
_space_group_IT_number 166
_space_group_name_Hall '-R 3 2"'
loop_
_atom_site_label
_atom_site_type_symbol
_atom_site_fract_x
_atom_site_fract_y
_atom_site_fract_z
Ca1 Ca 0.0000 0.0000 0.0000
La1 La 0.0384 0.5192 0.6149
Sm1 Sm 0.0000 0.2583 0.5000
Sm2 Sm 0.0920 0.1839 0.2657
```

Main lines, in order of rising 2θ (2θ = 10–90°):
two_theta  d [Å]  Rel. int.
28.69  3.111  36
30.53  2.928  43
30.74  2.909  66
30.98  2.887  100
33.28  2.692  32
55.08  1.667  24



(3)
This entry pairs a crystal structure of Ca3La12Sm with its calculated XRD peak list. Radiation: Cu Kα X-rays. Structure: a structure optimized by DFT (PBE).

```
data_Ca3La12Sm
_cell_length_a 5.303
_cell_length_b 5.303
_cell_length_c 21.211
_cell_angle_alpha 90.00
_cell_angle_beta 90.00
_cell_angle_gamma 90.00
_space_group_name_H-M_alt 'P 4/m m m'
_space_group_IT_number 123
_space_group_name_Hall '-P 4 2'
loop_
_atom_site_label
_atom_site_type_symbol
_atom_site_fract_x
_atom_site_fract_y
_atom_site_fract_z
Ca1 Ca 0.000 0.000 0.000
Ca2 Ca 0.000 0.000 0.252
La1 La 0.000 0.500 0.126
La2 La 0.000 0.500 0.379
La3 La 0.500 0.500 0.000
La4 La 0.500 0.500 0.251
La5 La 0.500 0.500 0.500
Sm1 Sm 0.000 0.000 0.500
```

Main lines, in order of rising 2θ (2θ = 10–90°):
two_theta  d [Å]  Rel. int.
29.17  3.062  100
33.81  2.652  51
48.56  1.875  36
57.65  1.599  43
78.64  1.217  17
81.10  1.186  16



(4)
This entry pairs a crystal structure of CaLa14Sm with its calculated XRD peak list. Radiation: Cu Kα X-rays. Structure: a structure optimized by DFT (PBE).

```
data_CaLa14Sm
_cell_length_a 7.464
_cell_length_b 7.464
_cell_length_c 10.554
_cell_angle_alpha 90.00
_cell_angle_beta 90.00
_cell_angle_gamma 90.00
_space_group_name_H-M_alt 'P 4/m m m'
_space_group_IT_number 123
_space_group_name_Hall '-P 4 2'
loop_
_atom_site_label
_atom_site_type_symbol
_atom_site_fract_x
_atom_site_fract_y
_atom_site_fract_z
Ca1 Ca 0.000 0.000 0.000
La1 La 0.000 0.000 0.500
La2 La 0.000 0.500 0.000
La3 La 0.000 0.500 0.500
La4 La 0.255 0.255 0.253
La5 La 0.500 0.500 0.500
Sm1 Sm 0.500 0.500 0.000
```

Main lines, in order of rising 2θ (2θ = 10–90°):
two_theta  d [Å]  Rel. int.
29.31  3.047  100
33.97  2.639  51
48.81  1.866  36
57.96  1.591  43
79.09  1.211  17
81.58  1.180  16



(5)
This entry pairs a crystal structure of Ca2La6Sm3 with its calculated XRD peak list. Radiation: Cu Kα X-rays. Structure: a structure optimized by DFT (PBE).

```
data_Ca2La6Sm3
_cell_length_a 3.7265
_cell_length_b 3.7265
_cell_length_c 101.4841
_cell_angle_alpha 90.00
_cell_angle_beta 90.00
_cell_angle_gamma 120.00
_space_group_name_H-M_alt 'R -3 m'
_space_group_IT_number 166
_space_group_name_Hall '-R 3 2"'
loop_
_atom_site_label
_atom_site_type_symbol
_atom_site_fract_x
_atom_site_fract_y
_atom_site_fract_z
Ca1 Ca 0.0000 0.0000 0.0467
La1 La 0.0000 0.0000 0.1373
La2 La 0.0000 0.0000 0.3189
La3 La 0.0000 0.0000 0.4121
Sm1 Sm 0.0000 0.0000 0.2257
Sm2 Sm 0.0000 0.0000 0.5000
```

Main lines, in order of rising 2θ (2θ = 10–90°):
two_theta  d [Å]  Rel. int.
29.04  3.075  32
29.32  3.046  100
33.90  2.644  65
48.51  1.876  20
48.88  1.863  25
57.86  1.594  26



(6)
This entry pairs a crystal structure of CaLa2Sm6 with its calculated XRD peak list. Radiation: Cu Kα X-rays. Structure: a structure optimized by DFT (PBE).

```
data_CaLa2Sm6
_cell_length_a 7.393
_cell_length_b 9.188
_cell_length_c 9.778
_cell_angle_alpha 103.19
_cell_angle_beta 100.79
_cell_angle_gamma 90.03
_space_group_name_H-M_alt 'P -1'
_space_group_IT_number 2
loop_
_space_group_symop_operation_xyz
'x,y,z'
'-x,-y,-z'
loop_
_atom_site_label
_atom_site_type_symbol
_atom_site_fract_x
_atom_site_fract_y
_atom_site_fract_z
Ca1 Ca 0.212 0.335 0.356
La1 La 0.378 0.335 0.016
La2 La 0.420 0.995 0.165
Sm1 Sm 0.044 0.327 0.688
Sm2 Sm 0.085 0.001 0.834
Sm3 Sm 0.121 0.667 0.983
Sm4 Sm 0.249 0.992 0.503
Sm5 Sm 0.285 0.670 0.650
Sm6 Sm 0.452 0.672 0.316
```

Main lines, in order of rising 2θ (2θ = 10–90°):
two_theta  d [Å]  Rel. int.
28.07  3.179  38
30.00  2.979  49
30.95  2.889  100
32.56  2.750  56
49.30  1.848  37
58.79  1.571  43